The following is a calculated X-ray diffraction stick pattern of Sr2VBrO4. It was derived from a cell relaxed with GGA+U, using a wavelength of 1.5418 Å.
Peak positions follow from Bragg's law for the DFT cell and can differ from measured ones.

Structure:
```
data_Sr2VBrO4
_chemical_formula_sum 'Sr8 V4 Br4 O16'
_symmetry_space_group_name_H-M 'P b c m'
_symmetry_Int_Tables_number 57
_symmetry_space_group_name_Hall '-P 2c 2b'
_cell_length_a 6.6872
_cell_length_b 7.6170
_cell_length_c 11.8114
_cell_angle_alpha 90.00
_cell_angle_beta 90.00
_cell_angle_gamma 90.00
loop_
_atom_site_label
_atom_site_type_symbol
_atom_site_fract_x
_atom_site_fract_y
_atom_site_fract_z
_atom_site_occupancy
Sr1 Sr 0.1220 0.0306 0.2500 1
Sr2 Sr 0.3750 0.7500 0.0000 1
V1 V 0.1249 0.2500 0.0000 1
Br1 Br 0.4721 0.1764 0.7500 1
O1 O 0.0318 0.7288 0.6186 1
O2 O 0.2806 0.0724 0.0276 1
```

Largest 8 diffraction maxima, low angle first, 2θ from 10° to 90°:
d [Å]	2θ/deg	intensity	(hkl)
4.624	19.19	48	1 1 1
3.201	27.87	64	0 2 2
2.964	30.15	43	2 1 1
2.953	30.27	100	0 0 4
2.718	32.95	69	2 1 2
2.203	40.96	51	1 2 4
1.913	47.53	50	2 3 2
1.482	62.69	43	4 2 2